This entry pairs a crystal structure of CaMnSiO4 with its computed powder diffraction line list. Radiation: Cu Kα (λ = 1.5418 Å). Structure: the GGA+U geometry in Alexandria.

Atomic structure:
a = 11.301 Å, b = 6.575 Å, c = 4.980 Å
α = 90.00°, β = 90.00°, γ = 90.00°
Space group Pnma (No. 62)
One atom of each set of equivalent atoms:
1 Ca 0.222 0.250 0.017 [4 per cell]
2 Mn 0.000 0.000 0.500 [4 per cell]
3 Si 0.088 0.750 0.083 [4 per cell]
4 O 0.046 0.250 0.772 [4 per cell]
5 O 0.085 0.750 0.754 [4 per cell]
6 O 0.154 0.549 0.217 [8 per cell]

The 10 most intense peaks (2θ from 15° to 90°), in order of falling intensity:
- 33.6°, I = 1000, hkl 1 2 1
- 29.7°, I = 715, hkl 3 0 1
- 48.6°, I = 619, hkl 2 2 2
- 32.8°, I = 549, hkl 3 1 1
- 15.7°, I = 396, hkl 2 0 0
- 23.8°, I = 348, hkl 1 1 1
- 56.3°, I = 303, hkl 6 2 0
- 55.9°, I = 263, hkl 0 4 0
- 48.7°, I = 237, hkl 4 0 2
- 31.5°, I = 216, hkl 2 2 0